No. 1
Computed powder diffraction line list of Ba3I2O8 for λ = 1.5418 Å (Cu Kα), from the PBE geometry in Alexandria.

Peak list (10 most intense, 5° ≤ 2θ ≤ 70°, most intense first)
| 2θ (°) | intensity |
| --- | --- |
| 27.30 | 100.0 |
| 26.84 | 72.7 |
| 38.66 | 34.9 |
| 47.97 | 31.7 |
| 48.26 | 20.5 |
| 56.33 | 17.6 |
| 63.47 | 13.2 |
| 48.70 | 11.6 |
| 47.11 | 9.5 |
| 38.54 | 7.7 |

Unit cell a=6.5326 b=6.5326 c=20.5208 alpha=90.00 beta=90.00 gamma=120.00
Space group R-3m (No. 166, hexagonal axes)
Unique sites:
Ba 0.0000 0.0000 0.0000 [3 per cell]
Ba 0.0000 0.0000 0.2025 [6 per cell]
I 0.0000 0.0000 0.4233 [6 per cell]
O 0.0000 0.0000 0.3333 [6 per cell]
O 0.0164 0.5082 0.7657 [18 per cell]



No. 2
Computed powder diffraction line list of Tb4Sb2Pt for λ = 1.5418 Å (Cu Kα), from the PBE geometry in Alexandria.

Peak list (10 most intense, 5° ≤ 2θ ≤ 70°, most intense first)
| 2θ (°) | intensity |
| --- | --- |
| 27.15 | 100.0 |
| 35.67 | 74.3 |
| 35.18 | 74.0 |
| 42.47 | 63.0 |
| 27.42 | 40.7 |
| 27.73 | 37.6 |
| 42.11 | 37.1 |
| 13.76 | 33.8 |
| 55.99 | 22.8 |
| 13.49 | 19.7 |

Unit cell a=15.549 b=4.291 c=7.357 alpha=90.00 beta=116.84 gamma=90.00
Space group C2/m (No. 12)
Unique sites:
Tb 0.115 0.000 0.429 [4 per cell]
Tb 0.117 0.500 0.981 [4 per cell]
Sb 0.232 0.500 0.732 [4 per cell]
Pt 0.000 0.000 0.000 [2 per cell]



No. 3
Computed powder diffraction line list of TiTl4Te5 for λ = 1.5418 Å (Cu Kα), from the PBE geometry in Alexandria.

Peak list (10 most intense, 5° ≤ 2θ ≤ 70°, most intense first)
| 2θ (°) | intensity |
| --- | --- |
| 28.16 | 100.0 |
| 38.95 | 81.9 |
| 26.36 | 62.8 |
| 48.75 | 38.5 |
| 40.24 | 30.5 |
| 62.24 | 19.6 |
| 23.82 | 18.8 |
| 34.90 | 17.9 |
| 29.83 | 16.4 |
| 69.68 | 13.2 |

Unit cell a=10.022 b=10.022 c=6.763 alpha=90.00 beta=90.00 gamma=90.00
Space group I4 (No. 79)
Unique sites:
Ti 0.000 0.000 0.000 [2 per cell]
Tl 0.090 0.691 0.418 [8 per cell]
Te 0.000 0.000 0.393 [2 per cell]
Te 0.095 0.747 0.925 [8 per cell]



No. 4
Computed powder diffraction line list of InTePb2 for λ = 1.5418 Å (Cu Kα), from the PBE geometry in Alexandria.

Peak list (10 most intense, 5° ≤ 2θ ≤ 70°, most intense first)
| 2θ (°) | intensity |
| --- | --- |
| 31.65 | 100.0 |
| 32.00 | 24.3 |
| 34.23 | 20.4 |
| 56.81 | 19.2 |
| 59.68 | 16.6 |
| 47.56 | 16.3 |
| 66.10 | 12.2 |
| 43.09 | 10.8 |
| 54.67 | 10.8 |
| 56.15 | 10.0 |

Unit cell a=4.199 b=5.239 c=5.594 alpha=90.00 beta=90.00 gamma=90.00
Space group Pmmm (No. 47)
Unique sites:
In 0.000 0.000 0.000 [1 per cell]
Te 0.500 0.000 0.500 [1 per cell]
Pb 0.000 0.500 0.500 [1 per cell]
Pb 0.500 0.500 0.000 [1 per cell]



No. 5
Computed powder diffraction line list of VSiH3 for λ = 1.5418 Å (Cu Kα), from the PBE geometry in Alexandria.

Peak list (6 most intense, 5° ≤ 2θ ≤ 70°, most intense first)
| 2θ (°) | intensity |
| --- | --- |
| 37.81 | 100.0 |
| 68.27 | 31.7 |
| 54.54 | 17.6 |
| 26.49 | 11.9 |
| 61.63 | 3.1 |
| 46.76 | 1.9 |

Unit cell a=3.365 b=3.365 c=3.365 alpha=90.00 beta=90.00 gamma=90.00
Space group Pm-3m (No. 221)
Unique sites:
V 0.000 0.000 0.000 [1 per cell]
Si 0.500 0.500 0.500 [1 per cell]
H 0.000 0.000 0.500 [3 per cell]



Number 4 is which compound? InTePb2



Which formula does entry 2 have? Tb4Sb2Pt